No. 1
La2HfO5: simulated powder XRD pattern (Cu Kα X-rays), based on a structure optimized by DFT (GGA-PBE).
Peak positions follow from Bragg's law for the DFT cell and can differ from measured ones.

The 10 most intense peaks (5° ≤ 2θ ≤ 70°), sorted by position:
2θ/deg, I (rel.)
23.85, 13
27.47, 100
28.01, 13
28.46, 12
31.95, 25
32.94, 14
45.54, 13
45.70, 14
48.76, 16
54.17, 12

Structural model:
Lattice parameters (Å, degrees): 11.3305 3.9708 11.8559 90.00 90.00 90.00
Space group Pnma (No. 62)
Asymmetric unit:
1 La 0.1018 0.2500 0.2177 [4 per cell]
2 La 0.1317 0.2500 0.5635 [4 per cell]
3 Hf 0.1906 0.2500 0.8760 [4 per cell]
4 O 0.0060 0.7500 0.6014 [4 per cell]
5 O 0.0262 0.2500 0.8292 [4 per cell]
6 O 0.2230 0.7500 0.2268 [4 per cell]
7 O 0.2311 0.2500 0.0431 [4 per cell]
8 O 0.2457 0.7500 0.8799 [4 per cell]

---

No. 2
La2HfO5: simulated powder XRD pattern (Cu Kα X-rays), based on a structure optimized by DFT (GGA-PBE).
Peak positions follow from Bragg's law for the DFT cell and can differ from measured ones.

The 10 most intense peaks (5° ≤ 2θ ≤ 70°), sorted by position:
2θ/deg, I (rel.)
28.00, 100
32.37, 25
32.59, 12
46.45, 15
46.59, 27
55.11, 27
55.38, 13
57.85, 5
57.90, 5
67.77, 4

Structural model:
Lattice parameters (Å, degrees): 7.8253 3.9090 16.4875 90.00 90.00 90.00
Space group Pnma (No. 62)
Asymmetric unit:
1 La 0.1060 0.2500 0.0833 [4 per cell]
2 La 0.1533 0.2500 0.7421 [4 per cell]
3 Hf 0.1102 0.2500 0.4277 [4 per cell]
4 O 0.0760 0.7500 0.4598 [4 per cell]
5 O 0.0848 0.7500 0.1724 [4 per cell]
6 O 0.1090 0.7500 0.6488 [4 per cell]
7 O 0.1587 0.7500 0.9958 [4 per cell]
8 O 0.2408 0.7500 0.8272 [4 per cell]

---

No. 3
La2HfO5: simulated powder XRD pattern (Cu Kα X-rays), based on a structure optimized by DFT (GGA-PBE).
Peak positions follow from Bragg's law for the DFT cell and can differ from measured ones.

The 10 most intense peaks (5° ≤ 2θ ≤ 70°), sorted by position:
2θ/deg, I (rel.)
15.40, 22
23.17, 19
27.63, 92
28.10, 100
30.90, 32
31.61, 35
32.91, 24
44.79, 36
47.34, 23
53.53, 21

Structural model:
Lattice parameters (Å, degrees): 12.5909 5.6605 7.8989 90.00 113.92 90.00
Space group C2/c (No. 15)
Asymmetric unit:
1 La 0.1439 0.0133 0.2685 [8 per cell]
2 Hf 0.0000 0.5000 0.0000 [4 per cell]
3 O 0.0000 0.3430 0.2500 [4 per cell]
4 O 0.0747 0.1853 0.9671 [8 per cell]
5 O 0.1662 0.3443 0.6344 [8 per cell]